No. 1
For Cs2YTlI6, a DFT-relaxed cell (PBE, the Materials Project) gives the computed powder diffractogram in this record (Cu Kα X-rays).
Peak positions follow from Bragg's law for the DFT cell and can differ from measured ones.

Main lines, low angle first (15 to 90 degrees two-theta):
19.55 deg, d = 4.541 Å, rel. 26.5, hkl 2 2 0
24.00 deg, d = 3.707 Å, rel. 59.3, hkl 2 2 2
27.79 deg, d = 3.211 Å, rel. 100.0, hkl 4 0 0
31.14 deg, d = 2.872 Å, rel. 13.0, hkl 4 2 0
39.70 deg, d = 2.270 Å, rel. 74.3, hkl 4 4 0
46.93 deg, d = 1.936 Å, rel. 25.8, hkl 6 2 2
49.15 deg, d = 1.854 Å, rel. 26.0, hkl 4 4 4
57.40 deg, d = 1.605 Å, rel. 11.9, hkl 8 0 0
64.95 deg, d = 1.436 Å, rel. 32.1, hkl 8 4 0
72.05 deg, d = 1.311 Å, rel. 23.1, hkl 8 4 4

Atomic structure:
a b c (Å): 12.843 12.843 12.843
angles (deg): 90.00 90.00 90.00
Space group Fm-3m (No. 225)
Inequivalent atoms, fractional coordinates:
Cs: 0.250 0.250 0.250 [8 per cell]
Y: 0.000 0.000 0.000 [4 per cell]
Tl: 0.000 0.000 0.500 [4 per cell]
I: 0.000 0.000 0.236 [24 per cell]

---

No. 2
For GaRh3, a DFT-relaxed cell (PBE, the Materials Project) gives the computed powder diffractogram in this record (Cu Kα X-rays).
Peak positions follow from Bragg's law for the DFT cell and can differ from measured ones.

Main lines, low angle first (15 to 90 degrees two-theta):
23.58 deg, d = 3.773 Å, rel. 0.8, hkl 0 0 2
25.75 deg, d = 3.460 Å, rel. 2.4, hkl 1 0 1
40.56 deg, d = 2.224 Å, rel. 100.0, hkl 1 1 2
46.66 deg, d = 1.947 Å, rel. 33.2, hkl 2 0 0
48.24 deg, d = 1.887 Å, rel. 15.0, hkl 0 0 4
68.11 deg, d = 1.377 Å, rel. 10.4, hkl 2 2 0
69.36 deg, d = 1.355 Å, rel. 19.7, hkl 2 0 4
82.39 deg, d = 1.171 Å, rel. 24.4, hkl 3 1 2
84.73 deg, d = 1.144 Å, rel. 11.4, hkl 1 1 6
87.77 deg, d = 1.112 Å, rel. 10.6, hkl 2 2 4

Atomic structure:
a b c (Å): 3.894 3.894 7.547
angles (deg): 90.00 90.00 90.00
Space group I4/mmm (No. 139)
Inequivalent atoms, fractional coordinates:
Ga: 0.000 0.000 0.000 [2 per cell]
Rh: 0.000 0.000 0.500 [2 per cell]
Rh: 0.000 0.500 0.250 [4 per cell]

---

No. 3
For MoS2, a DFT-relaxed cell (PBE, the Materials Project) gives the computed powder diffractogram in this record (Cu Kα X-rays).
Peak positions follow from Bragg's law for the DFT cell and can differ from measured ones.

Main lines, low angle first (15 to 90 degrees two-theta):
17.99 deg, d = 4.931 Å, rel. 100.0, hkl 1 0 1
28.38 deg, d = 3.145 Å, rel. 78.5, hkl 1 1 2
30.51 deg, d = 2.930 Å, rel. 18.1, hkl 1 0 3
36.83 deg, d = 2.440 Å, rel. 22.6, hkl 2 1 1
44.70 deg, d = 2.027 Å, rel. 18.3, hkl 2 1 3
45.69 deg, d = 1.986 Å, rel. 17.9, hkl 2 2 0
47.92 deg, d = 1.898 Å, rel. 31.8, hkl 2 0 4
54.66 deg, d = 1.679 Å, rel. 21.5, hkl 3 1 2
60.07 deg, d = 1.540 Å, rel. 9.6, hkl 3 2 1
86.15 deg, d = 1.129 Å, rel. 10.5, hkl 4 2 4

Atomic structure:
a b c (Å): 5.616 5.616 10.305
angles (deg): 90.00 90.00 90.00
Space group I-42d (No. 122)
Inequivalent atoms, fractional coordinates:
Mo: 0.000 0.000 0.000 [4 per cell]
S: 0.218 0.250 0.125 [8 per cell]

---

No. 4
For BaCa3, a DFT-relaxed cell (PBE, the Materials Project) gives the computed powder diffractogram in this record (Cu Kα X-rays).
Peak positions follow from Bragg's law for the DFT cell and can differ from measured ones.

Main lines, low angle first (15 to 90 degrees two-theta):
17.10 deg, d = 5.185 Å, rel. 32.7, hkl 1 0 1
26.90 deg, d = 3.315 Å, rel. 100.0, hkl 1 1 2
30.39 deg, d = 2.941 Å, rel. 36.2, hkl 2 0 0
32.64 deg, d = 2.744 Å, rel. 14.9, hkl 0 0 4
35.08 deg, d = 2.558 Å, rel. 11.6, hkl 2 1 1
43.52 deg, d = 2.080 Å, rel. 12.9, hkl 2 2 0
45.19 deg, d = 2.006 Å, rel. 22.9, hkl 2 0 4
51.90 deg, d = 1.762 Å, rel. 29.9, hkl 3 1 2
54.83 deg, d = 1.674 Å, rel. 12.6, hkl 1 1 6
55.44 deg, d = 1.657 Å, rel. 12.1, hkl 2 2 4

Atomic structure:
a b c (Å): 5.882 5.882 10.975
angles (deg): 90.00 90.00 90.00
Space group I4/mmm (No. 139)
Inequivalent atoms, fractional coordinates:
Ba: 0.000 0.000 0.000 [2 per cell]
Ca: 0.000 0.000 0.500 [2 per cell]
Ca: 0.000 0.500 0.250 [4 per cell]

---

No. 5
For Mg2Si, a DFT-relaxed cell (PBE, the Materials Project) gives the computed powder diffractogram in this record (Cu Kα X-rays).
Peak positions follow from Bragg's law for the DFT cell and can differ from measured ones.

Main lines, low angle first (15 to 90 degrees two-theta):
36.58 deg, d = 2.457 Å, rel. 100.0, hkl 2 2 1
37.13 deg, d = 2.422 Å, rel. 47.5, hkl 0 0 3
37.50 deg, d = 2.398 Å, rel. 46.8, hkl 4 0 -1
42.27 deg, d = 2.138 Å, rel. 65.6, hkl 2 2 -2
44.21 deg, d = 2.049 Å, rel. 28.2, hkl 4 0 2
62.57 deg, d = 1.485 Å, rel. 18.9, hkl 2 2 4
63.08 deg, d = 1.474 Å, rel. 19.0, hkl 6 2 0
72.99 deg, d = 1.296 Å, rel. 12.0, hkl 0 4 3
73.22 deg, d = 1.293 Å, rel. 12.1, hkl 4 4 -1
74.73 deg, d = 1.270 Å, rel. 11.4, hkl 6 2 -3

Atomic structure:
a b c (Å): 10.084 6.139 7.266
angles (deg): 90.00 91.31 90.00
Space group C2/m (No. 12)
Inequivalent atoms, fractional coordinates:
Mg: 0.079 0.246 0.323 [8 per cell]
Mg: 0.165 0.500 0.660 [4 per cell]
Mg: 0.250 0.250 0.000 [4 per cell]
Si: 0.000 0.000 0.000 [2 per cell]
Si: 0.000 0.500 0.000 [2 per cell]
Si: 0.168 0.000 0.668 [4 per cell]

---

No. 6
For Ti3Bi, a DFT-relaxed cell (PBE, the Materials Project) gives the computed powder diffractogram in this record (Cu Kα X-rays).
Peak positions follow from Bragg's law for the DFT cell and can differ from measured ones.

Main lines, low angle first (15 to 90 degrees two-theta):
17.06 deg, d = 5.199 Å, rel. 20.0, hkl 1 0 0
25.18 deg, d = 3.537 Å, rel. 70.3, hkl 1 0 1
29.77 deg, d = 3.001 Å, rel. 29.6, hkl 1 1 0
34.50 deg, d = 2.599 Å, rel. 24.1, hkl 2 0 0
37.26 deg, d = 2.413 Å, rel. 26.2, hkl 0 0 2
39.37 deg, d = 2.289 Å, rel. 100.0, hkl 2 0 1
50.13 deg, d = 1.820 Å, rel. 19.7, hkl 2 1 1
61.82 deg, d = 1.501 Å, rel. 16.8, hkl 2 2 0
68.61 deg, d = 1.368 Å, rel. 18.8, hkl 2 0 3
74.45 deg, d = 1.274 Å, rel. 19.4, hkl 2 2 2

Atomic structure:
a b c (Å): 6.0029 6.0029 4.8261
angles (deg): 90.00 90.00 120.00
Space group P6_3/mmc (No. 194)
Inequivalent atoms, fractional coordinates:
Ti: 0.1580 0.3161 0.2500 [6 per cell]
Bi: 0.3333 0.6667 0.7500 [2 per cell]